The following is a theoretical powder XRD pattern of TiV3Ga4. It was derived from a DFT-relaxed cell (GGA-PBE, Alexandria), using Cu Kα (λ = 1.5418 Å).
Peak positions follow from Bragg's law for the DFT cell and can differ from measured ones.

Structure:
Lattice parameters (Å, degrees): 5.5472 7.6370 5.5109 90.00 90.00 90.00
Space group Pmna (No. 53)
Inequivalent atoms, fractional coordinates:
Ti1 0.0000 0.0000 0.0000 x2
V1 0.0000 0.5000 0.0000 x2
V2 0.2500 0.2588 0.2500 x4
Ga1 0.0000 0.0000 0.5000 x2
Ga2 0.0000 0.5000 0.5000 x2
Ga3 0.2500 0.2560 0.7500 x4

Main lines, in order of rising 2θ (2θ = 10–90°):
| 2θ (°) | intensity | (hkl) |
| --- | --- | --- |
| 40.2 | 100 | 2 2 0 |
| 40.4 | 99 | 0 2 2 |
| 46.5 | 65 | 2 0 2 |
| 47.6 | 30 | 0 4 0 |
| 68.7 | 37 | 2 4 2 |
| 81.7 | 22 | 4 2 2 |
| 82.1 | 22 | 2 2 4 |
| 83.6 | 10 | 2 6 0 |